# CaAgBiO5
Theoretical X-ray powder pattern, Cu Kα (λ = 1.5418 Å). Input: DFT lattice parameters and positions (GGA-PBE).
Intensities are scaled so that the largest is 100.

Structural model:
a b c (Å): 5.8847 11.0722 8.9623
angles (deg): 90.00 107.30 90.00
Space group P2_1/c (No. 14)
Inequivalent atoms, fractional coordinates:
Ca 0.0210 0.1065 0.1591 (multiplicity 4)
Ag 0.4404 0.6286 0.1145 (multiplicity 4)
Bi 0.4600 0.0883 0.8392 (multiplicity 4)
O 0.1961 0.5233 0.1830 (multiplicity 4)
O 0.2624 0.7140 0.5473 (multiplicity 4)
O 0.2707 0.2448 0.3090 (multiplicity 4)
O 0.2762 0.0356 0.0063 (multiplicity 4)
O 0.3531 0.5202 0.8203 (multiplicity 4)

Principal peaks in the range 2θ = 10–80°, by intensity:
| two_theta | intensity |
| --- | --- |
| 15.8 | 100 |
| 23.5 | 59 |
| 22.3 | 38 |
| 32.9 | 32 |
| 38.7 | 30 |
| 26.8 | 26 |
| 32.0 | 21 |
| 32.4 | 19 |
| 16.0 | 17 |
| 45.0 | 15 |